# U4Ga12Co
Simulated PXRD pattern, CuKα. Input: a GGA-PBE-relaxed structure.

Cell lengths 8.5583, 8.5583, 8.5583 Å; angles 90.00, 90.00, 90.00 degrees
Space group Im-3m (No. 229)
Asymmetric unit:
U 0.2500 0.2500 0.2500 [8 per cell]
Ga 0.0000 0.0000 0.2816 [12 per cell]
Ga 0.0000 0.2500 0.5000 [12 per cell]
Co 0.0000 0.0000 0.0000 [2 per cell]

Most intense lines, 10° ≤ 2θ ≤ 90°, in order of falling intensity:
d = 2.471 Å, 36.36°, I 100, hkl 2 2 2; d = 2.140 Å, 42.24°, I 56, hkl 4 0 0; d = 3.026 Å, 29.52°, I 44, hkl 2 2 0; d = 1.290 Å, 73.38°, I 36, hkl 6 2 2; d = 1.513 Å, 61.27°, I 36, hkl 4 4 0; d = 4.279 Å, 20.76°, I 29, hkl 2 0 0; d = 1.914 Å, 47.51°, I 17, hkl 4 2 0; d = 1.747 Å, 52.37°, I 17, hkl 4 2 2; d = 1.144 Å, 84.77°, I 12, hkl 6 4 2; d = 1.235 Å, 77.23°, I 12, hkl 4 4 4